Record 1
Structure and theoretical powder diffraction line list of LaSn2 (DFT lattice parameters and positions (GGA-PBE); Cu Kα).
Neutral-atom scattering factors, no anomalous dispersion.

Structural model:
```
LaSn2
1.0
2.3404 -7.6411 0.0000
2.3404 7.6411 0.0000
0.0000 0.0000 4.8257
La Sn
2 4
Direct
0.1484 0.8516 0.0000 La
0.8516 0.1484 0.0000 La
0.0000 0.0000 0.5000 Sn
0.3261 0.6739 0.5000 Sn
0.5000 0.5000 0.0000 Sn
0.6739 0.3261 0.5000 Sn
```

Top 10 peaks for 2θ = 5–70°, most intense first:
two_theta, d/Å, I/Imax
31.91, 2.805, 100
37.27, 2.413, 17
35.24, 2.547, 17
38.46, 2.340, 16
63.86, 1.458, 15
65.49, 1.425, 13
54.63, 1.680, 12
52.22, 1.752, 11
61.15, 1.515, 11
66.70, 1.402, 11

---

Record 2
Structure and theoretical powder diffraction line list of ThSO (DFT lattice parameters and positions (GGA-PBE); Cu Kα).
Neutral-atom scattering factors, no anomalous dispersion.

Structural model:
```
ThSO
1.0
3.9800 0.0000 0.0000
0.0000 3.9800 0.0000
0.0000 0.0000 6.7873
Th S O
2 2 2
Direct
0.2500 0.2500 0.2001 Th
0.7500 0.7500 0.7999 Th
0.2500 0.2500 0.6380 S
0.7500 0.7500 0.3620 S
0.2500 0.7500 0.0000 O
0.7500 0.2500 0.0000 O
```

Top 10 peaks for 2θ = 5–70°, most intense first:
two_theta, d/Å, I/Imax
25.95, 3.433, 100
31.80, 2.814, 50
34.74, 2.582, 37
41.69, 2.166, 34
53.20, 1.722, 30
45.59, 1.990, 24
26.26, 3.394, 20
58.56, 1.576, 16
59.19, 1.561, 15
13.04, 6.787, 14